The following is a theoretical powder X-ray diffraction pattern of Cr4Ga3BiO12. It was derived from the PBE+U geometry in Alexandria, using Cu Kα (weighted mean of Kα1 and Kα2).
Kinematic intensities with the Lorentz-polarization factor, no thermal factor.

Structure:
abc: 6.506 6.506 6.506
angles: 109.47 109.47 109.47
Sites, in units of the cell vectors:
Cr: 0.000 0.000 0.500
Cr: 0.000 0.500 0.000
Cr: 0.500 0.000 0.000
Cr: 0.500 0.500 0.500
Ga: 0.000 0.500 0.500
Ga: 0.500 0.000 0.500
Ga: 0.500 0.500 0.000
Bi: 0.000 0.000 0.000
O: 0.135 0.311 0.824
O: 0.176 0.487 0.311
O: 0.176 0.865 0.689
O: 0.311 0.176 0.487
O: 0.311 0.824 0.135
O: 0.487 0.311 0.176
O: 0.513 0.689 0.824
O: 0.689 0.176 0.865
O: 0.689 0.824 0.513
O: 0.824 0.135 0.311
O: 0.824 0.513 0.689
O: 0.865 0.689 0.176

Largest 12 diffraction maxima, sorted by position, 10 to 90 degrees two-theta:
- 16.69°, 5.312 Å, I 24
- 23.69°, 3.756 Å, I 12
- 29.12°, 3.067 Å, I 11
- 33.75°, 2.656 Å, I 100
- 37.87°, 2.376 Å, I 14
- 41.65°, 2.169 Å, I 10
- 45.16°, 2.008 Å, I 15
- 48.47°, 1.878 Å, I 24
- 60.36°, 1.533 Å, I 47
- 63.10°, 1.473 Å, I 6
- 70.97°, 1.328 Å, I 12
- 80.94°, 1.188 Å, I 17